(1)
Starting from a crystal structure in OQMD, relaxed with PBE, the powder diffraction line list of Tm2LuIn was calculated for λ = 1.5418 Å (Cu Kα).
Kinematic intensities with the Lorentz-polarization factor, no thermal factor.

Cell and atoms:
```
Tm2LuIn
1.0
4.757 0.000 0.000
0.000 4.757 0.000
0.000 0.000 4.759
Tm Lu In
2 1 1
Direct
0.000 0.500 0.000
0.500 0.000 0.000
0.000 0.000 0.500
0.500 0.500 0.500
```

Top 10 peaks for 2θ from 5° to 70°, in order of rising 2θ:
Position (°2θ)  d [Å]  I (rel.)
18.7  4.757  2
26.5  3.364  2
32.6  2.747  100
37.8  2.379  50
42.5  2.128  1
46.8  1.942  1
54.6  1.682  35
58.2  1.586  1
65.0  1.434  41
68.3  1.373  12

(2)
Starting from a crystal structure in OQMD, relaxed with PBE, the powder diffraction line list of ErCuSnSe3 was calculated for λ = 1.5418 Å (Cu Kα).
Kinematic intensities with the Lorentz-polarization factor, no thermal factor.

Cell and atoms:
```
ErCuSnSe3
1.0
10.533 0.000 0.000
0.000 4.020 0.000
0.000 0.000 13.449
Er Cu Sn Se
4 4 4 12
Direct
0.020 0.250 0.241
0.480 0.750 0.741
0.520 0.250 0.259
0.980 0.750 0.759
0.237 0.250 0.720
0.263 0.750 0.220
0.737 0.250 0.780
0.763 0.750 0.280
0.218 0.750 0.505
0.282 0.250 0.005
0.718 0.750 0.995
0.782 0.250 0.495
0.044 0.250 0.614
0.088 0.750 0.102
0.235 0.750 0.832
0.265 0.250 0.332
0.412 0.250 0.602
0.456 0.750 0.114
0.544 0.250 0.886
0.588 0.750 0.398
0.735 0.750 0.668
0.765 0.250 0.168
0.912 0.250 0.898
0.956 0.750 0.386
```

Top 10 peaks for 2θ from 5° to 70°, in order of rising 2θ:
Position (°2θ)  d [Å]  I (rel.)
13.2  6.724  33
21.4  4.146  34
28.7  3.111  37
29.9  2.993  39
31.1  2.880  100
34.0  2.633  32
34.5  2.602  98
43.9  2.062  33
44.0  2.058  37
45.1  2.010  42

(3)
Starting from a crystal structure in OQMD, relaxed with PBE, the powder diffraction line list of Ga3Si2Ni5 was calculated for λ = 1.5418 Å (Cu Kα).
Kinematic intensities with the Lorentz-polarization factor, no thermal factor.

Cell and atoms:
```
Ga3Si2Ni5
1.0
1.909 -6.004 0.000
1.909 6.004 0.000
0.000 0.000 11.094
Ga Si Ni
6 4 10
Direct
0.000 0.000 0.000
0.000 0.000 0.500
0.331 0.669 0.523
0.331 0.669 0.977
0.669 0.331 0.023
0.669 0.331 0.477
0.037 0.963 0.250
0.289 0.711 0.250
0.711 0.289 0.750
0.963 0.037 0.750
0.159 0.841 0.636
0.159 0.841 0.864
0.340 0.660 0.750
0.479 0.521 0.136
0.479 0.521 0.364
0.521 0.479 0.636
0.521 0.479 0.864
0.660 0.340 0.250
0.841 0.159 0.136
0.841 0.159 0.364
```

Top 10 peaks for 2θ from 5° to 70°, in order of rising 2θ:
Position (°2θ)  d [Å]  I (rel.)
25.8  3.458  20
34.6  2.594  6
36.3  2.473  14
43.5  2.081  16
45.3  2.001  49
46.4  1.957  100
47.6  1.909  29
66.5  1.407  8
67.5  1.387  6
67.8  1.382  13

(4)
Starting from a crystal structure in OQMD, relaxed with PBE, the powder diffraction line list of Cs2Rb2Sn2Au7 was calculated for λ = 1.5418 Å (Cu Kα).
Kinematic intensities with the Lorentz-polarization factor, no thermal factor.

Cell and atoms:
```
Cs2Rb2Sn2Au7
1.0
3.476 2.007 9.917
-3.476 2.007 9.917
0.000 -4.014 9.917
Cs Rb Sn Au
2 2 2 7
Direct
0.188 0.188 0.188
0.812 0.812 0.812
0.316 0.316 0.316
0.684 0.684 0.684
0.450 0.450 0.450
0.550 0.550 0.550
0.000 0.000 0.000
0.197 0.788 0.788
0.212 0.212 0.803
0.212 0.803 0.212
0.788 0.197 0.788
0.788 0.788 0.197
0.803 0.212 0.212
```

Top 10 peaks for 2θ from 5° to 70°, in order of rising 2θ:
Position (°2θ)  d [Å]  I (rel.)
15.0  5.901  35
15.9  5.581  89
17.9  4.959  40
25.6  3.476  42
28.2  3.164  74
30.3  2.951  62
31.4  2.846  65
32.1  2.791  100
42.5  2.126  44
52.7  1.738  55